Structure and calculated powder diffraction line list of Li4CdIn3 (a cell relaxed with GGA-PBE; Cu Kα (λ = 1.5418 Å)).
No peak broadening, texture or thermal motion is included.

Peak list (10 most intense, 2θ from 10° to 90°, low angle first)
| d/Å | two_theta | I (rel.) |
| --- | --- | --- |
| 3.898 | 22.8 | 100 |
| 2.387 | 37.7 | 97 |
| 2.039 | 44.4 | 17 |
| 2.034 | 44.6 | 33 |
| 1.686 | 54.4 | 11 |
| 1.549 | 59.7 | 20 |
| 1.380 | 67.9 | 11 |
| 1.377 | 68.1 | 22 |
| 1.298 | 72.9 | 11 |
| 1.140 | 85.1 | 10 |

Cell and atoms:
a = 4.768 Å, b = 4.768 Å, c = 6.767 Å
α = 90.00°, β = 90.00°, γ = 90.00°
Fractional positions:
Li1 0.000 0.000 0.000
Li2 0.000 0.500 0.746
Li3 0.500 0.000 0.254
Li4 0.500 0.500 0.500
Cd1 0.000 0.000 0.500
In1 0.000 0.500 0.256
In2 0.500 0.000 0.744
In3 0.500 0.500 0.000